# 1
Dy2Cd2Pt3: simulated X-ray diffraction stick pattern (CuKα), based on DFT lattice parameters and positions (PBE).
Peak positions follow from Bragg's law for the DFT cell and can differ from measured ones.

Atomic structure:
Lattice parameters (Å, degrees): 5.2926 5.2926 7.4282 104.56 104.56 48.11
Fractional positions:
Dy (0.1340, 0.1340, 0.3198)
Dy (0.8660, 0.8660, 0.6802)
Cd (0.3748, 0.3748, 0.0687)
Cd (0.6252, 0.6252, 0.9313)
Pt (0.1724, 0.1724, 0.7120)
Pt (0.5000, 0.5000, 0.5000)
Pt (0.8276, 0.8276, 0.2880)

Most intense lines, 15 to 90 degrees two-theta, in order of rising 2θ:
two_theta	Rel. int.
19.72	18.2
31.91	47.5
35.06	100.0
35.68	97.1
35.96	66.4
41.88	58.1
42.08	61.5
46.50	27.8
56.16	17.8
64.35	21.0

---

# 2
Tb3PdRh: simulated X-ray diffraction stick pattern (CuKα), based on DFT lattice parameters and positions (PBE).
Peak positions follow from Bragg's law for the DFT cell and can differ from measured ones.

Atomic structure:
Lattice parameters (Å, degrees): 5.6558 6.8703 7.2386 80.13 89.07 66.45
Fractional positions:
Tb (0.0545, 0.1688, 0.1495)
Tb (0.2884, 0.1659, 0.6658)
Tb (0.3997, 0.4954, 0.2423)
Tb (0.6003, 0.5046, 0.7577)
Tb (0.7116, 0.8341, 0.3342)
Tb (0.9455, 0.8312, 0.8505)
Pd (0.2188, 0.8164, 0.4852)
Pd (0.7812, 0.1836, 0.5148)
Rh (0.4315, 0.8254, 0.9809)
Rh (0.5685, 0.1746, 0.0191)

Most intense lines, 15 to 90 degrees two-theta, in order of rising 2θ:
two_theta	Rel. int.
31.15	100.0
33.89	83.4
34.00	44.0
34.12	54.7
34.35	49.9
34.80	84.7
36.24	61.1
38.49	37.2
40.41	37.3
43.84	92.5

---

# 3
SmDyRhAu: simulated X-ray diffraction stick pattern (CuKα), based on DFT lattice parameters and positions (PBE).
Peak positions follow from Bragg's law for the DFT cell and can differ from measured ones.

Atomic structure:
Lattice parameters (Å, degrees): 5.0267 5.0267 5.0267 60.00 60.00 60.00
Fractional positions:
Sm (0.0000, 0.0000, 0.0000)
Dy (0.5000, 0.5000, 0.5000)
Rh (0.2500, 0.2500, 0.2500)
Au (0.7500, 0.7500, 0.7500)

Most intense lines, 15 to 90 degrees two-theta, in order of rising 2θ:
two_theta	Rel. int.
21.65	5.0
35.72	100.0
42.16	3.0
51.42	17.8
56.42	1.3
64.18	36.5
68.60	1.0
75.68	11.4
79.82	1.1
86.61	16.5

---

# 4
Rb2InF7: simulated X-ray diffraction stick pattern (CuKα), based on DFT lattice parameters and positions (PBE).
Peak positions follow from Bragg's law for the DFT cell and can differ from measured ones.

Atomic structure:
Lattice parameters (Å, degrees): 6.4857 6.4857 6.4857 124.20 124.20 82.87
Fractional positions:
Rb (0.2500, 0.7500, 0.5000)
Rb (0.7500, 0.2500, 0.5000)
In (0.0000, 0.0000, 0.0000)
F (0.2111, 0.2111, 0.0000)
F (0.2447, 0.2447, 0.4895)
F (0.2447, 0.7553, 0.0000)
F (0.5000, 0.5000, 0.0000)
F (0.7553, 0.2447, 0.0000)
F (0.7553, 0.7553, 0.5105)
F (0.7889, 0.7889, 0.0000)

Most intense lines, 15 to 90 degrees two-theta, in order of rising 2θ:
two_theta	Rel. int.
17.22	49.1
27.72	100.0
29.43	41.4
34.85	16.4
36.98	25.7
42.10	37.6
47.94	18.7
51.16	35.8
57.26	25.8
61.09	23.7

---

# 5
Pm2Nd6YTh: simulated X-ray diffraction stick pattern (CuKα), based on DFT lattice parameters and positions (PBE).
Peak positions follow from Bragg's law for the DFT cell and can differ from measured ones.

Atomic structure:
Lattice parameters (Å, degrees): 8.9067 8.9067 10.0038 94.94 94.94 117.33
Fractional positions:
Pm (0.1954, 0.2869, 0.0454)
Pm (0.2869, 0.1954, 0.5454)
Pm (0.7131, 0.8046, 0.4546)
Pm (0.8046, 0.7131, 0.9546)
Nd (0.0149, 0.5774, 0.1869)
Nd (0.1114, 0.7490, 0.5550)
Nd (0.2510, 0.8886, 0.9450)
Nd (0.2980, 0.5058, 0.3791)
Nd (0.4226, 0.9851, 0.3131)
Nd (0.4942, 0.7020, 0.1209)
Nd (0.5058, 0.2980, 0.8791)
Nd (0.5774, 0.0149, 0.6869)
Nd (0.7020, 0.4942, 0.6209)
Nd (0.7490, 0.1114, 0.0550)
Nd (0.8886, 0.2510, 0.4450)
Nd (0.9851, 0.4226, 0.8131)
Y (0.4066, 0.5934, 0.7500)
Y (0.5934, 0.4066, 0.2500)
Th (0.0205, 0.9795, 0.2500)
Th (0.9795, 0.0205, 0.7500)

Most intense lines, 15 to 90 degrees two-theta, in order of rising 2θ:
two_theta	Rel. int.
26.99	21.8
28.12	57.9
29.60	52.8
29.82	58.6
30.97	100.0
31.11	83.1
31.84	28.9
32.43	22.9
32.57	39.8
36.60	32.7

---

# 6
AsRuPb2: simulated X-ray diffraction stick pattern (CuKα), based on DFT lattice parameters and positions (PBE).
Peak positions follow from Bragg's law for the DFT cell and can differ from measured ones.

Atomic structure:
Lattice parameters (Å, degrees): 8.2676 8.2676 8.2676 156.70 153.93 35.24
Fractional positions:
As (0.0000, 0.0000, 0.0000)
Ru (0.5000, 0.5000, 0.0000)
Pb (0.3370, 0.8370, 0.5000)
Pb (0.6630, 0.1630, 0.5000)

Most intense lines, 15 to 90 degrees two-theta, in order of rising 2θ:
two_theta	Rel. int.
24.53	57.5
27.31	26.9
29.37	94.3
31.76	100.0
34.14	75.6
37.93	90.0
43.00	80.9
48.83	37.2
59.45	34.6
60.94	28.9

---

# 7
NaGe6As6: simulated X-ray diffraction stick pattern (CuKα), based on DFT lattice parameters and positions (PBE).
Peak positions follow from Bragg's law for the DFT cell and can differ from measured ones.

Atomic structure:
Lattice parameters (Å, degrees): 11.1822 11.1822 7.3238 91.49 91.49 20.77
Fractional positions:
Na (0.0000, 0.0000, 0.0000)
Ge (0.0547, 0.0547, 0.4621)
Ge (0.3176, 0.3176, 0.6796)
Ge (0.3211, 0.3211, 0.3376)
Ge (0.6789, 0.6789, 0.6624)
Ge (0.6824, 0.6824, 0.3204)
Ge (0.9453, 0.9453, 0.5379)
As (0.1177, 0.1177, 0.7513)
As (0.2232, 0.2232, 0.1578)
As (0.4291, 0.4291, 0.7358)
As (0.5709, 0.5709, 0.2642)
As (0.7768, 0.7768, 0.8422)
As (0.8823, 0.8823, 0.2487)

Most intense lines, 15 to 90 degrees two-theta, in order of rising 2θ:
two_theta	Rel. int.
24.31	30.8
27.50	30.8
27.90	100.0
29.67	22.0
33.23	22.7
43.30	25.3
43.66	38.8
44.87	37.9
44.97	36.1
51.00	24.5

---

# 8
Si23Ge4: simulated X-ray diffraction stick pattern (CuKα), based on DFT lattice parameters and positions (PBE).
Peak positions follow from Bragg's law for the DFT cell and can differ from measured ones.

Atomic structure:
Lattice parameters (Å, degrees): 10.1376 10.1376 10.1376 90.00 90.00 90.00
Fractional positions:
Si (0.0000, 0.1161, 0.3107)
Si (0.0000, 0.1161, 0.6893)
Si (0.0000, 0.2500, 0.5000)
Si (0.0000, 0.7500, 0.5000)
Si (0.0000, 0.8839, 0.3107)
Si (0.0000, 0.8839, 0.6893)
Si (0.1161, 0.3107, 0.0000)
Si (0.1161, 0.6893, 0.0000)
Si (0.1831, 0.1831, 0.1831)
Si (0.1831, 0.1831, 0.8169)
Si (0.1831, 0.8169, 0.1831)
Si (0.1831, 0.8169, 0.8169)
Si (0.1893, 0.3839, 0.5000)
Si (0.1893, 0.6161, 0.5000)
Si (0.2500, 0.5000, 0.0000)
Si (0.3107, 0.0000, 0.1161)
Si (0.3107, 0.0000, 0.8839)
Si (0.3169, 0.3169, 0.3169)
Si (0.3169, 0.3169, 0.6831)
Si (0.3169, 0.6831, 0.3169)
Si (0.3169, 0.6831, 0.6831)
Si (0.3839, 0.5000, 0.1893)
Si (0.3839, 0.5000, 0.8107)
Si (0.5000, 0.0000, 0.2500)
Si (0.5000, 0.0000, 0.7500)
Si (0.5000, 0.1893, 0.3839)
Si (0.5000, 0.1893, 0.6161)
Si (0.5000, 0.8107, 0.3839)
Si (0.5000, 0.8107, 0.6161)
Si (0.6161, 0.5000, 0.1893)
Si (0.6161, 0.5000, 0.8107)
Si (0.6831, 0.3169, 0.3169)
Si (0.6831, 0.3169, 0.6831)
Si (0.6831, 0.6831, 0.3169)
Si (0.6831, 0.6831, 0.6831)
Si (0.6893, 0.0000, 0.1161)
Si (0.6893, 0.0000, 0.8839)
Si (0.7500, 0.5000, 0.0000)
Si (0.8107, 0.3839, 0.5000)
Si (0.8107, 0.6161, 0.5000)
Si (0.8169, 0.1831, 0.1831)
Si (0.8169, 0.1831, 0.8169)
Si (0.8169, 0.8169, 0.1831)
Si (0.8169, 0.8169, 0.8169)
Si (0.8839, 0.3107, 0.0000)
Si (0.8839, 0.6893, 0.0000)
Ge (0.0000, 0.0000, 0.0000)
Ge (0.0000, 0.5000, 0.2500)
Ge (0.0000, 0.5000, 0.7500)
Ge (0.2500, 0.0000, 0.5000)
Ge (0.5000, 0.2500, 0.0000)
Ge (0.5000, 0.5000, 0.5000)
Ge (0.5000, 0.7500, 0.0000)
Ge (0.7500, 0.0000, 0.5000)

Most intense lines, 15 to 90 degrees two-theta, in order of rising 2θ:
two_theta	Rel. int.
30.55	28.0
31.83	40.5
33.06	100.0
35.42	17.2
52.64	22.2
54.29	18.5
55.91	39.6
67.95	10.2
73.57	10.2
89.69	9.8

---

# 9
HfTaOs: simulated X-ray diffraction stick pattern (CuKα), based on DFT lattice parameters and positions (PBE).
Peak positions follow from Bragg's law for the DFT cell and can differ from measured ones.

Atomic structure:
Lattice parameters (Å, degrees): 5.6148 5.6148 5.6148 146.73 146.73 47.76
Fractional positions:
Hf (0.0000, 0.0000, 0.0000)
Ta (0.6841, 0.6841, 0.0000)
Os (0.3353, 0.3353, 0.0000)

Most intense lines, 15 to 90 degrees two-theta, in order of rising 2θ:
two_theta	Rel. int.
17.27	1.4
38.42	100.0
39.65	46.8
52.91	1.5
53.55	9.1
57.32	16.2
68.65	17.3
71.13	33.4
82.30	10.7
85.42	5.4

---

# 10
Er3Zn3Si2: simulated X-ray diffraction stick pattern (CuKα), based on DFT lattice parameters and positions (PBE).
Peak positions follow from Bragg's law for the DFT cell and can differ from measured ones.

Atomic structure:
Lattice parameters (Å, degrees): 5.7227 5.7227 15.0824 90.00 90.00 138.52
Fractional positions:
Er (0.0852, 0.9148, 0.7500)
Er (0.3649, 0.6351, 0.5934)
Er (0.3649, 0.6351, 0.9066)
Er (0.6351, 0.3649, 0.0934)
Er (0.6351, 0.3649, 0.4066)
Er (0.9148, 0.0852, 0.2500)
Zn (0.0791, 0.9209, 0.5553)
Zn (0.0791, 0.9209, 0.9447)
Zn (0.1901, 0.8099, 0.2500)
Zn (0.8099, 0.1901, 0.7500)
Zn (0.9209, 0.0791, 0.0553)
Zn (0.9209, 0.0791, 0.4447)
Si (0.3375, 0.6625, 0.1169)
Si (0.3375, 0.6625, 0.3831)
Si (0.6625, 0.3375, 0.6169)
Si (0.6625, 0.3375, 0.8831)

Most intense lines, 15 to 90 degrees two-theta, in order of rising 2θ:
two_theta	Rel. int.
24.26	54.4
26.32	19.7
29.51	35.1
33.50	100.0
34.01	62.4
35.72	35.2
41.35	26.5
44.72	27.6
45.30	42.5
51.56	19.5

---

# 11
Zr2Tc3W: simulated X-ray diffraction stick pattern (CuKα), based on DFT lattice parameters and positions (PBE).
Peak positions follow from Bragg's law for the DFT cell and can differ from measured ones.

Atomic structure:
Lattice parameters (Å, degrees): 7.2368 7.2368 3.2246 90.00 90.00 142.95
Fractional positions:
Zr (0.1652, 0.8348, 0.0000)
Zr (0.8348, 0.1652, 0.0000)
Tc (0.0000, 0.0000, 0.5000)
Tc (0.3420, 0.6580, 0.5000)
Tc (0.6580, 0.3420, 0.5000)
W (0.5000, 0.5000, 0.0000)

Most intense lines, 15 to 90 degrees two-theta, in order of rising 2θ:
two_theta	Rel. int.
20.37	4.2
39.18	20.6
39.40	100.0
47.80	2.3
56.77	13.3
57.13	6.7
71.15	13.7
71.45	19.4
71.61	6.5
84.79	10.3

---

# 12
Ta2TlAs: simulated X-ray diffraction stick pattern (CuKα), based on DFT lattice parameters and positions (PBE).
Peak positions follow from Bragg's law for the DFT cell and can differ from measured ones.

Atomic structure:
Lattice parameters (Å, degrees): 3.3962 3.4191 7.2526 90.00 90.00 90.00
Fractional positions:
Ta (0.0000, 0.0000, 0.0000)
Ta (0.5000, 0.5000, 0.2188)
Tl (0.0000, 0.0000, 0.4771)
As (0.5000, 0.5000, 0.8392)

Most intense lines, 15 to 90 degrees two-theta, in order of rising 2θ:
two_theta	Rel. int.
36.11	88.7
36.24	87.9
37.32	100.0
45.98	12.2
53.64	24.4
54.00	17.4
64.29	25.3
66.43	30.6
66.69	30.2
76.65	14.9